For Ca3ZrSi2O9, a crystal structure in the Materials Project, relaxed with PBE gives the calculated X-ray powder pattern in this record (CuKα).
No peak broadening, texture or thermal motion is included.

a = 7.4434 Å, b = 10.3312 Å, c = 10.5268 Å
α = 90.00°, β = 91.07°, γ = 90.00°
Fractional positions:
Ca 0.1188 0.1751 0.0896
Ca 0.1188 0.3249 0.5896
Ca 0.3649 0.0771 0.3859
Ca 0.3649 0.4229 0.8859
Ca 0.3730 0.6962 0.4007
Ca 0.3730 0.8038 0.9007
Ca 0.6270 0.1962 0.0993
Ca 0.6270 0.3038 0.5993
Ca 0.6351 0.5771 0.1141
Ca 0.6351 0.9229 0.6141
Ca 0.8812 0.6751 0.4104
Ca 0.8812 0.8249 0.9104
Zr 0.1235 0.5640 0.1151
Zr 0.1235 0.9360 0.6151
Zr 0.8765 0.0640 0.3849
Zr 0.8765 0.4360 0.8849
Si 0.1664 0.6243 0.6819
Si 0.1664 0.8757 0.1819
Si 0.4023 0.1350 0.8106
Si 0.4023 0.3650 0.3106
Si 0.5977 0.6350 0.6894
Si 0.5977 0.8650 0.1894
Si 0.8336 0.1243 0.8181
Si 0.8336 0.3757 0.3181
O 0.0843 0.0038 0.2509
O 0.0843 0.4962 0.7509
O 0.0963 0.1102 0.5103
O 0.0963 0.3898 0.0103
O 0.1069 0.7361 0.2438
O 0.1069 0.7639 0.7438
O 0.1399 0.6233 0.5294
O 0.1399 0.8767 0.0294
O 0.3074 0.0005 0.7632
O 0.3074 0.4995 0.2632
O 0.3439 0.6078 0.0153
O 0.3439 0.8922 0.5153
O 0.3568 0.2353 0.2265
O 0.3568 0.2647 0.7265
O 0.3792 0.1665 0.9603
O 0.3792 0.3335 0.4603
O 0.3825 0.6057 0.7248
O 0.3825 0.8943 0.2248
O 0.6175 0.1057 0.7752
O 0.6175 0.3943 0.2752
O 0.6208 0.6665 0.5397
O 0.6208 0.8335 0.0397
O 0.6432 0.7353 0.2735
O 0.6432 0.7647 0.7735
O 0.6561 0.1078 0.4847
O 0.6561 0.3922 0.9847
O 0.6926 0.9995 0.2368
O 0.6926 0.5005 0.7368
O 0.8601 0.1233 0.9706
O 0.8601 0.3767 0.4706
O 0.8931 0.2361 0.2562
O 0.8931 0.2639 0.7562
O 0.9037 0.6102 0.9897
O 0.9037 0.8898 0.4897
O 0.9157 0.5038 0.2491
O 0.9157 0.9962 0.7491

The 10 most intense peaks (10 to 90 degrees two-theta), most intense first:
(hkl)	two_theta	Rel. int.
2 0 2	29.7	100.0
2 0 -2	29.1	98.8
0 3 2	31.0	94.9
0 1 1	12.0	61.3
0 2 3	30.8	60.4
0 3 1	27.2	53.6
4 0 0	49.0	45.4
2 3 -3	43.9	31.0
2 3 0	35.5	27.6
2 2 5	53.4	25.8